No. 1
CaMg2Cd2: simulated powder X-ray diffraction pattern (CuKα), based on a cell relaxed with GGA-PBE.
Neutral-atom scattering factors, no anomalous dispersion.

Crystal structure
```
CaMg2Cd2
1.0
8.9562 0.0000 0.0000
0.0000 5.2126 0.0000
-0.1546 0.0000 5.6991
Ca Mg Cd
2 4 4
direct
0.0000 0.0000 0.0000
0.5000 0.5000 0.0000
0.1723 0.5000 0.3565
0.3277 0.0000 0.6435
0.6723 0.0000 0.3565
0.8277 0.5000 0.6435
0.1629 0.5000 0.8483
0.3371 0.0000 0.1517
0.6629 0.0000 0.8483
0.8371 0.5000 0.1517
```

Top 10 peaks for 10 to 90 degrees two-theta, by angle:
2θ = 15.55°, rel. 71; 2θ = 19.71°, rel. 40; 2θ = 25.00°, rel. 48; 2θ = 25.37°, rel. 39; 2θ = 34.41°, rel. 51; 2θ = 34.63°, rel. 100; 2θ = 37.10°, rel. 79; 2θ = 37.86°, rel. 57; 2θ = 52.10°, rel. 29; 2θ = 63.16°, rel. 19



No. 2
Rb2TiAgF6: simulated powder X-ray diffraction pattern (CuKα), based on a cell relaxed with GGA-PBE.
Neutral-atom scattering factors, no anomalous dispersion.

Crystal structure
```
Rb2TiAgF6
1.0
-3.1408 3.1408 4.4495
3.1408 -3.1408 4.4495
3.1408 3.1408 -4.4495
Rb Ti Ag F
2 1 1 6
direct
0.2500 0.7500 0.5000
0.7500 0.2500 0.5000
0.0000 0.0000 0.0000
0.5000 0.5000 0.0000
0.2228 0.2228 0.4455
0.2228 0.7772 0.0000
0.2273 0.2273 0.0000
0.7727 0.7727 0.0000
0.7772 0.2228 0.0000
0.7772 0.7772 0.5545
```

Top 10 peaks for 10 to 90 degrees two-theta, by angle:
2θ = 28.40°, rel. 100; 2θ = 33.44°, rel. 7; 2θ = 34.97°, rel. 7; 2θ = 40.60°, rel. 41; 2θ = 50.29°, rel. 38; 2θ = 58.76°, rel. 24; 2θ = 66.46°, rel. 6; 2θ = 66.57°, rel. 12; 2θ = 73.87°, rel. 7; 2θ = 80.94°, rel. 21